Entry 1:
Simulated powder X-ray diffraction pattern
Compound: Ta2NbGe6
Radiation: Cu Kα
Structure: the PBE geometry in Alexandria

Most intense lines, 2θ from 5° to 70°, in order of falling intensity:
d/Å	two_theta	I/Imax	h k l
2.349	38.3	100	1 3 1
2.017	44.9	64	1 3 2
2.273	39.6	34	0 0 3
3.658	24.3	24	1 1 1
1.413	66.1	20	3 3 1
1.409	66.3	20	1 3 4
2.502	35.9	16	2 0 0
2.680	33.4	11	1 1 2
1.683	54.5	9	2 0 3
4.335	20.5	7	0 2 0

Cell and atoms:
a = 5.003 Å, b = 8.670 Å, c = 6.820 Å
α = 90.00°, β = 90.00°, γ = 90.00°
Space group C222 (No. 21)
Symmetry-distinct sites (fractional):
Ta 0.250 0.250 0.165 (multiplicity 4)
Nb 0.000 0.000 0.500 (multiplicity 2)
Ge 0.000 0.335 0.500 (multiplicity 4)
Ge 0.247 0.418 0.833 (multiplicity 8)


Entry 2:
Simulated powder X-ray diffraction pattern
Compound: Rb2AcCdF8
Radiation: Cu Kα
Structure: the PBE geometry in Alexandria

Most intense lines, 2θ from 5° to 70°, in order of falling intensity:
d/Å	two_theta	I/Imax	h k l
3.651	24.4	100	1 1 0
3.366	26.5	93	0 1 2
2.176	41.5	78	1 2 2
6.459	13.7	34	0 1 0
1.849	49.3	34	2 1 2
1.736	52.7	31	1 1 4
2.945	30.4	28	1 0 2
2.213	40.8	23	2 0 0
3.229	27.6	22	0 2 0
1.936	46.9	20	1 3 0

Cell and atoms:
a = 4.427 Å, b = 6.459 Å, c = 7.889 Å
α = 90.00°, β = 90.00°, γ = 90.00°
Space group Pmmm (No. 47)
Symmetry-distinct sites (fractional):
Rb 0.000 0.000 0.241 (multiplicity 2)
Ac 0.500 0.500 0.500 (multiplicity 1)
Cd 0.500 0.500 0.000 (multiplicity 1)
F 0.000 0.292 0.500 (multiplicity 2)
F 0.000 0.345 0.000 (multiplicity 2)
F 0.500 0.284 0.233 (multiplicity 4)


Entry 3:
Simulated powder X-ray diffraction pattern
Compound: Ho5Cd2Hg12
Radiation: Cu Kα
Structure: the PBE geometry in Alexandria

Most intense lines, 2θ from 5° to 70°, in order of falling intensity:
d/Å	two_theta	I/Imax	h k l
2.597	34.5	100	4 2 1
2.607	34.4	71	2 2 -2
2.455	36.6	55	1 3 -1
2.862	31.2	40	3 1 2
2.429	37.0	29	2 0 3
2.472	36.3	28	6 0 -1
2.725	32.9	23	5 1 -1
2.766	32.4	18	4 0 -2
1.402	66.7	14	3 5 2
1.969	46.1	14	0 4 0

Cell and atoms:
a = 15.577 Å, b = 7.877 Å, c = 7.712 Å
α = 90.00°, β = 90.90°, γ = 90.00°
Space group C2/m (No. 12)
Symmetry-distinct sites (fractional):
Ho 0.000 0.000 0.000 (multiplicity 2)
Ho 0.176 0.500 0.446 (multiplicity 4)
Ho 0.244 0.000 0.067 (multiplicity 4)
Cd 0.000 0.221 0.500 (multiplicity 4)
Hg 0.043 0.500 0.752 (multiplicity 4)
Hg 0.112 0.299 0.119 (multiplicity 8)
Hg 0.139 0.000 0.391 (multiplicity 4)
Hg 0.170 0.198 0.736 (multiplicity 8)


Entry 4:
Simulated powder X-ray diffraction pattern
Compound: TlGa6O8
Radiation: Cu Kα
Structure: the PBE geometry in Alexandria

Most intense lines, 2θ from 5° to 70°, in order of falling intensity:
d/Å	two_theta	I/Imax	h k l
2.796	32.0	100	2 2 2
5.592	15.8	72	1 1 1
1.712	53.5	45	4 4 0
1.460	63.7	41	6 2 2
2.421	37.1	34	4 0 0
2.222	40.6	27	3 3 1
2.920	30.6	19	3 1 1
1.637	56.2	13	5 3 1
1.864	48.9	9	5 1 1
1.398	66.9	9	4 4 4

Cell and atoms:
a = 9.685 Å, b = 9.685 Å, c = 9.685 Å
α = 90.00°, β = 90.00°, γ = 90.00°
Space group Fm-3m (No. 225)
Symmetry-distinct sites (fractional):
Tl 0.000 0.000 0.000 (multiplicity 4)
Ga 0.000 0.250 0.250 (multiplicity 24)
O 0.146 0.146 0.146 (multiplicity 32)


Entry 5:
Simulated powder X-ray diffraction pattern
Compound: LiAs2Cl2
Radiation: Cu Kα
Structure: the PBE geometry in Alexandria

Most intense lines, 2θ from 5° to 70°, in order of falling intensity:
d/Å	two_theta	I/Imax	h k l
3.131	28.5	100	2 1 0
4.950	17.9	47	1 1 0
1.933	47.0	47	2 1 2
2.458	36.6	26	0 0 2
1.806	50.5	21	3 2 1
4.915	18.0	20	0 0 1
3.490	25.5	20	1 1 1
2.214	40.8	19	3 1 0
2.641	33.9	16	2 1 1
1.649	55.7	14	3 3 0

Cell and atoms:
a = 7.000 Å, b = 7.000 Å, c = 4.915 Å
α = 90.00°, β = 90.00°, γ = 90.00°
Space group P4/mbm (No. 127)
Symmetry-distinct sites (fractional):
Li 0.000 0.000 0.000 (multiplicity 2)
As 0.124 0.376 0.000 (multiplicity 4)
Cl 0.174 0.326 0.500 (multiplicity 4)


Entry 6:
Simulated powder X-ray diffraction pattern
Compound: Cs4K5Ag2
Radiation: Cu Kα
Structure: the PBE geometry in Alexandria

Most intense lines, 2θ from 5° to 70°, in order of falling intensity:
d/Å	two_theta	I/Imax	h k l
12.059	7.3	100	1 0 0
12.926	6.8	64	0 0 1
3.830	23.2	48	2 1 0
9.046	9.8	38	1 0 -1
3.252	27.4	34	0 1 3
3.641	24.4	28	2 1 1
3.591	24.8	24	2 0 -3
3.342	26.7	22	2 1 -2
2.480	36.2	21	0 2 0
4.301	20.7	19	1 1 1

Cell and atoms:
a = 12.074 Å, b = 4.959 Å, c = 12.943 Å
α = 90.00°, β = 92.86°, γ = 90.00°
Space group P2/m (No. 10)
Symmetry-distinct sites (fractional):
Cs 0.167 0.000 0.314 (multiplicity 2)
Cs 0.192 0.000 0.963 (multiplicity 2)
K 0.156 0.500 0.653 (multiplicity 2)
K 0.489 0.500 0.170 (multiplicity 2)
K 0.500 0.500 0.500 (multiplicity 1)
Ag 0.025 0.500 0.114 (multiplicity 2)


Which formula does entry 2 have?
Rb2AcCdF8